# Zr4CdP6O24
Calculated powder XRD pattern, Cu Kα X-rays. Input: a structure optimized by DFT (PBE).

Crystal structure
Lattice parameters (Å, degrees): 9.119 9.119 9.119 59.06 59.06 59.06
Sites, in units of the cell vectors:
Zr: 0.136 0.136 0.136
Zr: 0.352 0.352 0.352
Zr: 0.648 0.648 0.648
Zr: 0.864 0.864 0.864
Cd: 0.500 0.500 0.500
P: 0.047 0.743 0.470
P: 0.257 0.530 0.953
P: 0.470 0.047 0.743
P: 0.530 0.953 0.257
P: 0.743 0.470 0.047
P: 0.953 0.257 0.530
O: 0.009 0.786 0.630
O: 0.062 0.906 0.292
O: 0.094 0.708 0.938
O: 0.107 0.312 0.492
O: 0.214 0.370 0.991
O: 0.231 0.581 0.446
O: 0.292 0.062 0.906
O: 0.312 0.492 0.107
O: 0.370 0.991 0.214
O: 0.419 0.554 0.769
O: 0.446 0.231 0.581
O: 0.492 0.107 0.312
O: 0.508 0.893 0.688
O: 0.554 0.769 0.419
O: 0.581 0.446 0.231
O: 0.630 0.009 0.786
O: 0.688 0.508 0.893
O: 0.708 0.938 0.094
O: 0.769 0.419 0.554
O: 0.786 0.630 0.009
O: 0.893 0.688 0.508
O: 0.906 0.292 0.062
O: 0.938 0.094 0.708
O: 0.991 0.214 0.370

Most intense lines, 10° ≤ 2θ ≤ 90°, in order of rising 2θ:
2θ (°)  I_rel
12.03  26
19.47  32
19.75  100
23.07  68
27.87  24
31.06  66
34.56  38
44.57  28
47.15  23
53.97  27

=====

# Y2Ge2O7
Calculated powder XRD pattern, Cu Kα X-rays. Input: a structure optimized by DFT (PBE).

Crystal structure
Lattice parameters (Å, degrees): 6.847 6.869 12.406 93.85 92.97 92.62
Sites, in units of the cell vectors:
Y: 0.046 0.332 0.113
Y: 0.111 0.081 0.356
Y: 0.315 0.832 0.119
Y: 0.366 0.230 0.631
Y: 0.634 0.770 0.369
Y: 0.685 0.168 0.881
Y: 0.889 0.919 0.644
Y: 0.954 0.668 0.887
Ge: 0.145 0.614 0.378
Ge: 0.169 0.147 0.886
Ge: 0.390 0.735 0.603
Ge: 0.486 0.668 0.836
Ge: 0.514 0.332 0.164
Ge: 0.610 0.265 0.397
Ge: 0.831 0.853 0.114
Ge: 0.855 0.386 0.622
O: 0.001 0.336 0.918
O: 0.008 0.020 0.183
O: 0.039 0.225 0.582
O: 0.070 0.396 0.303
O: 0.225 0.919 0.622
O: 0.245 0.096 0.018
O: 0.291 0.717 0.919
O: 0.294 0.787 0.311
O: 0.296 0.560 0.493
O: 0.341 0.492 0.117
O: 0.366 0.211 0.812
O: 0.391 0.554 0.701
O: 0.397 0.164 0.451
O: 0.399 0.131 0.223
O: 0.601 0.869 0.777
O: 0.603 0.836 0.549
O: 0.609 0.446 0.299
O: 0.634 0.789 0.188
O: 0.659 0.508 0.883
O: 0.704 0.440 0.507
O: 0.706 0.213 0.689
O: 0.709 0.283 0.081
O: 0.755 0.904 0.982
O: 0.775 0.081 0.378
O: 0.930 0.604 0.697
O: 0.961 0.775 0.418
O: 0.992 0.980 0.817
O: 0.999 0.664 0.082

Most intense lines, 10° ≤ 2θ ≤ 90°, in order of rising 2θ:
2θ (°)  I_rel
26.03  19
28.59  19
28.91  100
29.18  44
29.68  13
29.80  18
30.60  16
30.73  20
31.26  25
32.02  14

=====

# HfCoP
Calculated powder XRD pattern, Cu Kα X-rays. Input: a structure optimized by DFT (PBE).

Crystal structure
Lattice parameters (Å, degrees): 6.284 3.667 7.087 90.00 90.00 90.00
Sites, in units of the cell vectors:
Hf: 0.020 0.250 0.182
Hf: 0.480 0.750 0.682
Hf: 0.520 0.250 0.318
Hf: 0.980 0.750 0.818
Co: 0.139 0.250 0.562
Co: 0.361 0.750 0.062
Co: 0.639 0.250 0.938
Co: 0.861 0.750 0.438
P: 0.228 0.750 0.384
P: 0.272 0.250 0.884
P: 0.728 0.750 0.116
P: 0.772 0.250 0.616

Most intense lines, 10° ≤ 2θ ≤ 90°, in order of rising 2θ:
2θ (°)  I_rel
27.39  56
28.41  32
38.11  95
38.29  27
39.87  100
40.81  48
45.68  18
49.73  29
66.21  23
74.81  23

=====

# Th2AsS2
Calculated powder XRD pattern, Cu Kα X-rays. Input: a structure optimized by DFT (PBE).

Crystal structure
Lattice parameters (Å, degrees): 3.805 3.805 14.790 90.00 90.00 90.00
Sites, in units of the cell vectors:
Th: 0.000 0.000 0.195
Th: 0.000 0.000 0.805
As: 0.000 0.000 0.000
S: 0.000 0.000 0.357
S: 0.000 0.000 0.643

Most intense lines, 10° ≤ 2θ ≤ 90°, in order of rising 2θ:
2θ (°)  I_rel
11.97  50
23.38  100
24.15  19
26.34  33
30.21  21
33.30  41
38.55  44
45.58  28
53.88  21
63.02  22

=====

# Zr5AlSb3
Calculated powder XRD pattern, Cu Kα X-rays. Input: a structure optimized by DFT (PBE).

Crystal structure
Lattice parameters (Å, degrees): 8.712 8.712 5.882 90.00 90.00 120.00
Sites, in units of the cell vectors:
Zr: 0.000 0.270 0.250
Zr: 0.000 0.730 0.750
Zr: 0.270 0.000 0.250
Zr: 0.270 0.270 0.750
Zr: 0.333 0.667 0.000
Zr: 0.333 0.667 0.500
Zr: 0.667 0.333 0.000
Zr: 0.667 0.333 0.500
Zr: 0.730 0.000 0.750
Zr: 0.730 0.730 0.250
Al: 0.000 0.000 0.000
Al: 0.000 0.000 0.500
Sb: 0.000 0.388 0.750
Sb: 0.000 0.612 0.250
Sb: 0.388 0.000 0.750
Sb: 0.388 0.388 0.250
Sb: 0.612 0.000 0.250
Sb: 0.612 0.612 0.750

Most intense lines, 10° ≤ 2θ ≤ 90°, in order of rising 2θ:
2θ (°)  I_rel
30.39  21
31.37  13
34.97  86
35.70  88
36.87  100
46.04  30
52.26  22
57.00  20
67.60  17
74.79  19

=====

# AlPb3N3
Calculated powder XRD pattern, Cu Kα X-rays. Input: a structure optimized by DFT (PBE).

Crystal structure
Lattice parameters (Å, degrees): 10.336 10.336 3.616 90.00 90.00 120.00
Sites, in units of the cell vectors:
Al: 0.333 0.667 0.250
Al: 0.667 0.333 0.750
Pb: 0.024 0.366 0.750
Pb: 0.342 0.976 0.750
Pb: 0.366 0.342 0.250
Pb: 0.634 0.658 0.750
Pb: 0.658 0.024 0.250
Pb: 0.976 0.634 0.250
N: 0.135 0.532 0.250
N: 0.397 0.865 0.250
N: 0.468 0.603 0.250
N: 0.532 0.397 0.750
N: 0.603 0.135 0.750
N: 0.865 0.468 0.750

Most intense lines, 10° ≤ 2θ ≤ 90°, in order of rising 2θ:
2θ (°)  I_rel
17.16  50
26.34  10
29.95  63
30.17  100
34.72  9
43.02  35
53.17  10
53.30  28
59.81  19
82.10  10